For SrMg6Ni, a crystal structure in the Materials Project, relaxed with PBE gives the simulated powder XRD pattern in this record (a wavelength of 1.5418 Å).
Intensities are scaled so that the largest is 100.

Largest 6 diffraction maxima, in order of falling intensity, 5° ≤ 2θ ≤ 70°:
- 37.25°, d = 2.414 Å, intensity 100.0, (1 2 2)
- 30.93°, d = 2.891 Å, intensity 88.8, (1 1 3)
- 15.47°, d = 5.728 Å, intensity 78.7, (0 1 1)
- 40.21°, d = 2.243 Å, intensity 47.1, (2 0 0)
- 23.45°, d = 3.794 Å, intensity 46.3, (1 0 2)
- 34.61°, d = 2.592 Å, intensity 45.0, (0 1 5)

Cell and atoms:
abc: 4.4852 6.2564 14.2376
angles: 90.00 90.00 90.00
Fractional coordinates of all 16 atoms:
Sr (0.0000, 0.0000, 0.0000)
Sr (0.0000, 0.5000, 0.5000)
Mg (0.0000, 0.0000, 0.4153)
Mg (0.0000, 0.2429, 0.2040)
Mg (0.0000, 0.2571, 0.7040)
Mg (0.0000, 0.5000, 0.9153)
Mg (0.0000, 0.7429, 0.7040)
Mg (0.0000, 0.7571, 0.2040)
Mg (0.5000, 0.0000, 0.5869)
Mg (0.5000, 0.2464, 0.8331)
Mg (0.5000, 0.2536, 0.3331)
Mg (0.5000, 0.5000, 0.0869)
Mg (0.5000, 0.7464, 0.3331)
Mg (0.5000, 0.7536, 0.8331)
Ni (0.5000, 0.0000, 0.1776)
Ni (0.5000, 0.5000, 0.6776)